No. 1
The following is a simulated powder diffractogram of Li7Fe8B8O24. It was derived from a DFT-relaxed cell (GGA+U, the Materials Project), using Cu Kα.

Top 10 peaks for 10° ≤ 2θ ≤ 90°, by angle:
index  2θ (°)  I (rel.)
1 0 0  19.60  75.4
1 0 2  21.47  25.1
0 1 -2  21.59  70.8
0 1 4  25.89  26.7
1 1 4  26.01  27.9
0 1 -4  26.48  34.9
1 -1 0  34.25  57.9
2 1 0  34.35  32.3
0 0 8  34.89  100.0
2 2 2  40.72  37.4

Unit cell a=5.221 b=5.232 c=20.577 alpha=88.68 beta=89.57 gamma=60.19
Space group P1 (No. 1)
Inequivalent atoms, fractional coordinates:
Li 0.000 0.000 0.000
Li 0.000 0.000 0.498
Li 0.012 0.666 0.625
Li 0.014 0.669 0.127
Li 0.964 0.693 0.374
Li 0.966 0.690 0.876
Li 0.974 0.012 0.750
Fe 0.300 0.025 0.356
Fe 0.304 0.024 0.858
Fe 0.315 0.341 0.984
Fe 0.315 0.343 0.484
Fe 0.653 0.672 0.235
Fe 0.661 0.672 0.734
Fe 0.674 0.340 0.608
Fe 0.678 0.339 0.109
B 0.325 0.340 0.731
B 0.326 0.338 0.230
B 0.329 0.007 0.606
B 0.329 0.009 0.107
B 0.645 0.345 0.356
B 0.646 0.349 0.856
B 0.652 0.675 0.481
B 0.652 0.676 0.981
O 0.049 0.580 0.222
O 0.070 0.613 0.725
O 0.077 0.983 0.599
O 0.081 0.982 0.099
O 0.309 0.092 0.751
O 0.314 0.275 0.591
O 0.319 0.274 0.092
O 0.360 0.072 0.252
O 0.376 0.374 0.373
O 0.381 0.925 0.966
O 0.382 0.368 0.876
O 0.383 0.924 0.465
O 0.572 0.362 0.214
O 0.594 0.762 0.626
O 0.594 0.767 0.130
O 0.596 0.318 0.716
O 0.658 0.600 0.334
O 0.662 0.603 0.841
O 0.664 0.414 0.501
O 0.665 0.416 0.002
O 0.898 0.074 0.850
O 0.898 0.079 0.358
O 0.908 0.694 0.975
O 0.909 0.690 0.474



No. 2
The following is a simulated powder diffractogram of Cs8Fe2O7. It was derived from a DFT-relaxed cell (GGA+U, the Materials Project), using Cu Kα.

Top 10 peaks for 10° ≤ 2θ ≤ 90°, by angle:
index  2θ (°)  I (rel.)
1 0 -2  24.17  27.3
1 2 1  25.61  14.8
2 0 0  27.25  29.3
0 0 2  27.74  30.3
2 0 -2  27.81  54.5
1 5 -1  28.04  100.0
1 5 1  34.17  46.2
3 5 -1  44.28  13.8
1 5 -3  44.94  18.9
3 5 -3  49.32  14.9

Unit cell a=7.504 b=18.324 c=7.373 alpha=90.00 beta=119.27 gamma=90.00
Space group P2_1/c (No. 14)
Inequivalent atoms, fractional coordinates:
Cs 0.140 0.083 0.145
Cs 0.257 0.715 0.213
Cs 0.271 0.508 0.231
Cs 0.283 0.192 0.737
Fe 0.363 0.595 0.864
O 0.097 0.598 0.841
O 0.352 0.604 0.598
O 0.468 0.174 0.459
O 0.500 0.000 0.500



No. 3
The following is a simulated powder diffractogram of MgFe6Sb10I6O18. It was derived from a DFT-relaxed cell (GGA+U, the Materials Project), using Cu Kα.

Top 10 peaks for 10° ≤ 2θ ≤ 90°, by angle:
index  2θ (°)  I (rel.)
0 1 0  10.20  50.1
1 2 1  20.08  37.3
0 2 0  20.47  46.5
1 1 -2  20.56  35.7
1 1 -3  26.52  100.0
-2 1 1  27.64  40.5
1 3 1  28.95  50.7
2 1 3  29.35  81.9
3 2 0  34.59  83.3
0 2 5  36.88  43.7

Unit cell a=8.203 b=9.296 c=12.994 alpha=76.71 beta=87.41 gamma=73.34
Space group P1 (No. 1)
Inequivalent atoms, fractional coordinates:
Mg 0.000 0.000 0.000
Fe 0.257 0.704 0.150
Fe 0.288 0.645 0.395
Fe 0.533 0.717 0.921
Fe 0.644 0.622 0.210
Fe 0.878 0.788 0.324
Fe 0.997 0.654 0.601
Sb 0.059 0.444 0.274
Sb 0.079 0.990 0.468
Sb 0.138 0.846 0.756
Sb 0.380 0.496 0.783
Sb 0.439 0.393 0.071
Sb 0.456 0.957 0.262
Sb 0.534 0.817 0.525
Sb 0.663 0.977 0.031
Sb 0.740 0.470 0.496
Sb 0.977 0.612 0.009
I 0.184 0.372 0.556
I 0.275 0.061 0.877
I 0.545 0.343 0.329
I 0.760 0.404 0.885
I 0.765 0.977 0.653
I 0.991 0.078 0.199
O 0.054 0.786 0.455
O 0.073 0.775 0.035
O 0.111 0.642 0.283
O 0.137 0.634 0.729
O 0.204 0.465 0.129
O 0.207 0.909 0.608
O 0.308 0.454 0.932
O 0.317 0.931 0.410
O 0.395 0.708 0.798
O 0.407 0.758 0.251
O 0.471 0.602 0.071
O 0.497 0.621 0.485
O 0.639 0.882 0.381
O 0.692 0.851 0.188
O 0.722 0.777 0.977
O 0.775 0.636 0.561
O 0.820 0.561 0.352
O 0.882 0.541 0.155



No. 4
The following is a simulated powder diffractogram of V3O5F. It was derived from a DFT-relaxed cell (GGA+U, the Materials Project), using Cu Kα.

Top 10 peaks for 10° ≤ 2θ ≤ 90°, by angle:
index  2θ (°)  I (rel.)
0 0 3  27.36  90.3
2 0 -1  27.72  90.2
1 1 -2  35.22  100.0
0 1 3  40.39  20.3
2 1 -1  40.64  19.6
1 1 -5  53.62  51.9
3 1 -3  54.03  54.6
0 2 0  60.38  18.7
3 1 3  68.64  18.0
3 1 -6  68.72  18.7

Unit cell a=6.436 b=3.066 c=10.290 alpha=90.00 beta=108.15 gamma=90.00
Space group Pm (No. 6)
Inequivalent atoms, fractional coordinates:
V 0.000 0.000 0.000
V 0.146 0.500 0.327
V 0.327 0.000 0.653
V 0.512 0.500 0.026
V 0.686 0.000 0.348
V 0.835 0.500 0.671
O 0.042 0.000 0.670
O 0.067 0.500 0.127
O 0.272 0.500 0.535
O 0.304 0.000 0.001
O 0.597 0.500 0.206
O 0.630 0.000 0.672
O 0.699 0.000 0.003
O 0.737 0.500 0.481
O 0.934 0.500 0.867
O 0.967 0.000 0.334
F 0.366 0.000 0.334
F 0.399 0.500 0.798